No. 1
ThBe3Au10: calculated powder diffractogram (Cu Kα X-rays), based on a crystal structure in Alexandria, relaxed with PBE.

Atomic structure:
```
ThBe3Au10
1.0
0.000 6.254 6.254
6.254 0.000 6.254
6.254 6.254 0.000
Th Be Au
2 6 20
Cartesian
3.127 3.127 3.127
9.381 9.381 9.381
6.254 6.254 2.984
6.254 2.984 6.254
9.525 6.254 6.254
2.984 6.254 6.254
6.254 9.525 6.254
6.254 6.254 9.525
1.407 1.407 1.407
4.847 4.847 1.407
4.847 1.407 4.847
6.254 4.138 4.138
8.371 6.254 4.138
8.371 4.138 6.254
11.101 7.662 7.662
4.138 6.254 4.138
6.254 8.371 4.138
4.138 4.138 6.254
8.371 8.371 6.254
6.254 4.138 8.371
8.371 6.254 8.371
1.407 4.847 4.847
4.138 8.371 6.254
4.138 6.254 8.371
6.254 8.371 8.371
7.662 11.101 7.662
7.662 7.662 11.101
11.101 11.101 11.101
```

Principal peaks in the range 2θ from 10° to 80°, by angle:
two_theta  Rel. int.
32.0  53
35.1  26
37.4  100
42.8  45
61.1  19
63.1  32


No. 2
ThBe4Au12: calculated powder diffractogram (Cu Kα X-rays), based on a crystal structure in Alexandria, relaxed with PBE.

Atomic structure:
```
ThBe4Au12
1.0
-4.258 4.258 4.258
4.258 -4.258 4.258
4.258 4.258 -4.258
Th Be Au
1 4 12
Cartesian
0.000 0.000 0.000
2.129 2.129 -2.129
2.129 -2.129 2.129
-2.129 2.129 2.129
2.129 2.129 2.129
4.258 -1.419 2.806
2.839 1.451 0.000
5.677 1.451 0.000
2.806 4.258 -1.419
1.451 0.000 2.839
4.258 1.419 2.806
0.000 2.839 1.451
2.806 4.258 1.419
1.451 0.000 5.677
-1.419 2.806 4.258
1.419 2.806 4.258
0.000 5.677 1.451
```

Principal peaks in the range 2θ from 10° to 80°, by angle:
two_theta  Rel. int.
33.3  100
39.6  52
55.0  19
63.7  19
65.8  18
75.8  19


No. 3
Be3TlAu10: calculated powder diffractogram (Cu Kα X-rays), based on a crystal structure in Alexandria, relaxed with PBE.

Atomic structure:
```
Be3TlAu10
1.0
0.000 6.233 6.233
6.233 0.000 6.233
6.233 6.233 0.000
Be Tl Au
6 2 20
Cartesian
6.233 6.233 2.897
6.233 2.897 6.233
9.568 6.233 6.233
2.897 6.233 6.233
6.233 9.568 6.233
6.233 6.233 9.568
3.116 3.116 3.116
9.349 9.349 9.349
1.423 1.423 1.423
4.810 4.810 1.423
4.810 1.423 4.810
6.233 4.136 4.136
8.329 6.233 4.136
8.329 4.136 6.233
11.043 7.655 7.655
4.136 6.233 4.136
6.233 8.329 4.136
4.136 4.136 6.233
8.329 8.329 6.233
6.233 4.136 8.329
8.329 6.233 8.329
1.423 4.810 4.810
4.136 8.329 6.233
4.136 6.233 8.329
6.233 8.329 8.329
7.655 11.043 7.655
7.655 7.655 11.043
11.043 11.043 11.043
```

Principal peaks in the range 2θ from 10° to 80°, by angle:
two_theta  Rel. int.
32.1  48
35.3  24
37.5  100
42.9  46
61.3  17
63.3  29


No. 4
BeTl2Au2: calculated powder diffractogram (Cu Kα X-rays), based on a crystal structure in Alexandria, relaxed with PBE.

Atomic structure:
```
BeTl2Au2
1.0
6.166 0.000 0.000
0.000 6.166 0.000
0.000 0.000 5.913
Be Tl Au
2 4 4
Cartesian
0.000 0.000 0.000
3.083 3.083 0.000
1.159 1.924 2.957
1.924 5.007 2.957
4.242 1.159 2.957
5.007 4.242 2.957
1.002 4.085 0.000
2.081 1.002 0.000
4.085 5.165 0.000
5.165 2.081 0.000
```

Principal peaks in the range 2θ from 10° to 80°, by angle:
two_theta  Rel. int.
29.0  29
30.2  40
35.9  100
42.4  21
57.5  26
64.2  25


No. 5
Tm2Be7Au12: calculated powder diffractogram (Cu Kα X-rays), based on a crystal structure in Alexandria, relaxed with PBE.

Atomic structure:
```
Tm2Be7Au12
1.0
9.933 0.000 0.000
-4.967 8.602 0.000
0.000 0.000 3.910
Tm Be Au
2 7 12
Cartesian
0.000 5.735 0.988
4.967 2.867 2.923
0.000 0.000 0.000
-2.413 6.125 2.943
0.868 3.450 2.943
3.422 0.973 0.967
1.544 7.629 2.943
4.098 5.152 0.967
7.379 2.477 0.967
-1.469 3.963 2.930
-0.099 2.236 0.984
-2.981 7.570 0.984
1.887 1.204 2.926
-0.800 7.893 2.930
2.698 3.254 0.980
2.269 5.348 2.930
5.766 0.709 0.980
3.079 7.399 0.984
7.947 1.033 2.926
5.065 6.366 2.926
6.436 4.639 0.980
```

Principal peaks in the range 2θ from 10° to 80°, by angle:
two_theta  Rel. int.
27.4  27
35.9  100
46.0  14
46.4  14
48.5  13
79.2  11


No. 6
TmBe6Au12: calculated powder diffractogram (Cu Kα X-rays), based on a crystal structure in Alexandria, relaxed with PBE.

Atomic structure:
```
TmBe6Au12
1.0
-4.237 4.237 4.237
4.237 -4.237 4.237
4.237 4.237 -4.237
Tm Be Au
1 6 12
Cartesian
0.000 0.000 0.000
4.237 1.090 0.000
4.237 0.000 3.147
3.147 4.237 0.000
1.090 0.000 4.237
0.000 4.237 1.090
0.000 3.147 4.237
4.237 2.770 -1.636
2.602 0.000 1.467
5.873 0.000 1.467
1.467 2.602 0.000
2.770 -1.636 4.237
0.000 1.467 2.602
4.237 2.770 1.636
1.467 5.873 0.000
2.770 1.636 4.237
-1.636 4.237 2.770
1.636 4.237 2.770
0.000 1.467 5.873
```

Principal peaks in the range 2θ from 10° to 80°, by angle:
two_theta  Rel. int.
29.8  15
33.4  100
36.7  29
39.8  83
64.1  44
68.2  29


Which formula does entry 2 have? ThBe4Au12